[1]
Starting from the PBE geometry in the Materials Project, the powder X-ray diffraction pattern of SmGe2Pt2 was simulated for Cu Ka.
No peak broadening, texture or thermal motion is included.

Top 8 peaks for 2θ = 10–90°, low angle first:
2theta	I_rel	index
30.39	30	1 1 1
33.63	63	1 0 3
34.13	100	1 1 2
41.55	76	2 0 0
46.49	35	1 1 4
54.47	33	2 1 3
60.21	25	2 2 0
71.06	24	3 1 2

Cell and atoms:
```
data_SmGe2Pt2
_symmetry_space_group_name_H-M 'P 4/n m m'
_symmetry_Int_Tables_number 129
_cell_length_a 4.347
_cell_length_b 4.347
_cell_length_c 10.120
_cell_angle_alpha 90.00
_cell_angle_beta 90.00
_cell_angle_gamma 90.00
loop_
_symmetry_equiv_pos_as_xyz
'x,y,z'
'-x,-y,-z'
'-y+1/2,x,z'
'y+1/2,-x,-z'
'-x+1/2,-y+1/2,z'
'x+1/2,y+1/2,-z'
'y,-x+1/2,z'
'-y,x+1/2,-z'
'x+1/2,-y,-z'
'-x+1/2,y,z'
'-y,-x,-z'
'y,x,z'
'-x,y+1/2,-z'
'x,-y+1/2,z'
'y+1/2,x+1/2,-z'
'-y+1/2,-x+1/2,z'
loop_
_atom_site_label
_atom_site_fract_x
_atom_site_fract_y
_atom_site_fract_z
_atom_site_occupancy
Sm1 0.250 0.250 0.248 1
Ge1 0.250 0.250 0.633 1
Ge2 0.250 0.750 0.000 1
Pt1 0.250 0.250 0.875 1
Pt2 0.250 0.750 0.500 1
```

=====

[2]
Starting from the PBE geometry in the Materials Project, the powder X-ray diffraction pattern of Pr4MnS7 was simulated for Cu Ka.
No peak broadening, texture or thermal motion is included.

Top 8 peaks for 2θ = 10–90°, low angle first:
2theta	I_rel	index
24.30	100	2 0 1
25.08	16	0 0 2
32.79	47	2 0 2
33.89	22	3 0 1
36.40	46	2 2 0
43.72	33	2 0 3
44.25	19	4 0 1
44.72	16	2 2 2

Cell and atoms:
```
data_Pr4MnS7
_symmetry_space_group_name_H-M 'P 63'
_symmetry_Int_Tables_number 173
_cell_length_a 9.8724
_cell_length_b 9.8724
_cell_length_c 7.1005
_cell_angle_alpha 90.00
_cell_angle_beta 90.00
_cell_angle_gamma 120.00
loop_
_symmetry_equiv_pos_as_xyz
'x,y,z'
'x-y,x,z+1/2'
'-y,x-y,z'
'-x,-y,z+1/2'
'-x+y,-x,z'
'y,-x+y,z+1/2'
loop_
_atom_site_label
_atom_site_fract_x
_atom_site_fract_y
_atom_site_fract_z
_atom_site_occupancy
Pr1 0.1799 0.3779 0.0000 1
Pr2 0.3333 0.6667 0.4531 1
Mn1 0.0000 0.0000 0.2544 1
S1 0.0728 0.5436 0.2353 1
S2 0.1201 0.2478 0.6046 1
S3 0.3333 0.6667 0.8332 1
```